No. 1
Computed PXRD pattern of LaSmDyHo for Cu Kα (weighted mean of Kα1 and Kα2), from a DFT-relaxed cell (GGA-PBE, Alexandria).
Peak positions follow from Bragg's law for the DFT cell and can differ from measured ones.

Crystal structure
```
LaSmDyHo
1.0
5.750 0.000 0.000
0.000 3.424 0.000
-0.006 0.000 6.812
La Sm Dy Ho
1 1 1 1
Cartesian
0.000 0.000 0.000
2.869 1.712 5.003
2.873 0.000 1.689
-0.003 0.000 3.445
```

Peak list (8 most intense, 2θ from 10° to 90°, most intense first)
h k l  2θ/deg  I_rel
1 0 2  30.5  100
2 0 0  31.1  48
1 1 1  33.2  44
0 1 1  29.2  28
1 2 2  62.9  25
1 1 2  40.5  25
3 0 2  55.0  23
1 1 0  30.4  23

No. 2
Computed PXRD pattern of YCo6 for Cu Kα (weighted mean of Kα1 and Kα2), from a DFT-relaxed cell (GGA-PBE, Alexandria).
Peak positions follow from Bragg's law for the DFT cell and can differ from measured ones.

Crystal structure
```
YCo6
1.0
7.833 0.000 0.000
0.000 4.819 0.000
0.000 0.000 9.811
Y Co
4 24
Cartesian
1.871 1.205 0.581
2.046 3.614 5.486
5.787 1.205 4.324
5.962 3.614 9.230
0.514 3.614 0.904
0.544 0.051 3.023
0.544 2.359 3.023
0.703 1.205 5.128
1.100 3.614 8.374
1.438 1.205 7.412
2.479 3.614 2.507
2.816 1.205 3.469
3.213 3.614 0.223
3.372 2.460 7.928
3.372 4.768 7.928
3.403 1.205 5.809
4.430 3.614 4.002
4.461 0.051 1.883
4.461 2.359 1.883
4.620 1.205 9.588
5.017 3.614 6.342
5.354 1.205 7.303
6.395 3.614 2.398
6.733 1.205 1.437
7.130 3.614 4.683
7.289 2.460 6.788
7.289 4.768 6.788
7.319 1.205 8.907
```

Peak list (8 most intense, 2θ from 10° to 90°, most intense first)
h k l  2θ/deg  I_rel
3 1 1  40.3  100
2 1 3  40.5  71
1 0 4  38.5  56
1 2 3  48.3  47
2 1 4  47.6  41
2 2 1  45.1  40
0 2 0  37.3  32
4 0 1  47.3  30